Calculated X-ray diffraction stick pattern of LiCaTaSi for Cu Ka, from a PBE-relaxed structure.

a b c (Å): 3.5883 3.7669 11.5879
angles (deg): 90.00 90.00 90.00
Space group Amm2 (No. 38)
Inequivalent atoms, fractional coordinates:
Li: 0.0000 0.0000 0.0000
Ca: 0.5000 0.0000 0.6078
Ta: 0.0000 0.0000 0.3116
Si: 0.5000 0.0000 0.8536

Top 10 peaks for 2θ from 10° to 90°, sorted by position:
2θ (°), d (Å), I/Imax
15.29, 5.794, 100
24.84, 3.584, 60
29.28, 3.051, 55
30.87, 2.897, 33
33.22, 2.697, 46
35.41, 2.535, 94
41.91, 2.156, 39
50.94, 1.793, 21
52.94, 1.729, 31
57.48, 1.603, 26

Calculated X-ray diffraction stick pattern of GaBiPt6 for Cu Ka, from a PBE-relaxed structure.

a b c (Å): 4.0796 4.0796 8.0427
angles (deg): 90.00 90.00 90.00
Space group P4/mmm (No. 123)
Inequivalent atoms, fractional coordinates:
Ga: 0.0000 0.0000 0.0000
Bi: 0.0000 0.0000 0.5000
Pt: 0.0000 0.5000 0.2312
Pt: 0.5000 0.5000 0.0000
Pt: 0.5000 0.5000 0.5000

Top 10 peaks for 2θ from 10° to 90°, sorted by position:
2θ (°), d (Å), I/Imax
32.99, 2.715, 4
38.40, 2.344, 100
44.41, 2.040, 34
45.09, 2.011, 15
64.62, 1.442, 11
65.15, 1.432, 20
66.56, 1.405, 3
77.74, 1.228, 26
78.72, 1.216, 10
82.26, 1.172, 11

Calculated X-ray diffraction stick pattern of PrNd4Tm5 for Cu Ka, from a PBE-relaxed structure.

a b c (Å): 3.6111 3.6111 24.9987
angles (deg): 90.00 90.00 90.00
Space group P4/mmm (No. 123)
Inequivalent atoms, fractional coordinates:
Pr: 0.0000 0.0000 0.0000
Nd: 0.0000 0.0000 0.2007
Nd: 0.0000 0.0000 0.4004
Tm: 0.5000 0.5000 0.1009
Tm: 0.5000 0.5000 0.3006
Tm: 0.5000 0.5000 0.5000

Top 10 peaks for 2θ from 10° to 90°, sorted by position:
2θ (°), d (Å), I/Imax
30.54, 2.927, 100
35.15, 2.553, 34
35.92, 2.500, 16
50.55, 1.806, 12
51.13, 1.786, 24
60.22, 1.537, 29
61.26, 1.513, 14
63.56, 1.464, 12
82.41, 1.170, 6
83.32, 1.160, 12

Calculated X-ray diffraction stick pattern of KNb2CdO6 for Cu Ka, from a PBE-relaxed structure.

a b c (Å): 10.2177 11.4026 6.9591
angles (deg): 90.00 112.53 90.00
Space group C2/c (No. 15)
Inequivalent atoms, fractional coordinates:
K: 0.0000 0.1082 0.2500
Nb: 0.1567 0.4327 0.1942
Cd: 0.0000 0.2231 0.7500
O: 0.1045 0.2843 0.0963
O: 0.1100 0.4694 0.4412
O: 0.1491 0.0748 0.6941

Top 10 peaks for 2θ from 10° to 90°, sorted by position:
2θ (°), d (Å), I/Imax
12.17, 7.270, 40
20.83, 4.265, 100
24.49, 3.635, 55
27.05, 3.297, 62
27.50, 3.244, 53
27.76, 3.214, 69
29.45, 3.033, 64
30.62, 2.920, 63
31.24, 2.864, 40
50.87, 1.795, 42